Computed PXRD pattern of NaNdY for CuKα, from a cell relaxed with GGA-PBE.
Peak positions follow from Bragg's law for the DFT cell and can differ from measured ones.

Structural model:
abc: 3.606 3.606 9.249
angles: 90.00 90.00 120.00
Atoms (fractional coordinates):
1 Na 0.000 0.000 0.000
2 Nd 0.333 0.667 0.648
3 Y 0.667 0.333 0.344

Main lines, by angle (10 to 80 degrees two-theta):
2θ = 28.96°, d 3.083, rel. 31, (0 0 3); 2θ = 30.20°, d 2.959, rel. 100, (1 0 1); 2θ = 34.66°, d 2.588, rel. 77, (0 1 2); 2θ = 49.02°, d 1.858, rel. 22, (1 0 4); 2θ = 50.63°, d 1.803, rel. 21, (1 1 0); 2θ = 57.95°, d 1.592, rel. 18, (0 1 5); 2θ = 59.38°, d 1.556, rel. 24, (1 1 3); 2θ = 60.08°, d 1.540, rel. 17, (0 2 1)